Record 1
Diffraction record for CdCuPdF6. The powder X-ray diffraction pattern is calculated, not measured: it uses a cell relaxed with PBE and Cu Kα.
No peak broadening, texture or thermal motion is included.

Cell and atoms:
```
data_CdCuPdF6
_space_group_name_H-M_alt 'P 42 n m'
_space_group_IT_number 102
_cell_length_a 4.973
_cell_length_b 4.973
_cell_length_c 10.171
_cell_angle_alpha 90.00
_cell_angle_beta 90.00
_cell_angle_gamma 90.00
loop_
_space_group_symop_operation_xyz
'x,y,z'
'-y+1/2,x+1/2,z+1/2'
'-x,-y,z'
'y+1/2,-x+1/2,z+1/2'
'-x+1/2,y+1/2,z+1/2'
'y,x,z'
'x+1/2,-y+1/2,z+1/2'
'-y,-x,z'
loop_
_atom_site_label
_atom_site_type_symbol
_atom_site_fract_x
_atom_site_fract_y
_atom_site_fract_z
Cd1 Cd 0.000 0.000 0.000
Cu1 Cu 0.000 0.000 0.332
Pd1 Pd 0.000 0.000 0.669
F1 F 0.184 0.184 0.496
F2 F 0.197 0.197 0.180
F3 F 0.210 0.210 0.827
```

Principal peaks in the range 2θ = 15–90°, low angle first:
| Position (°2θ) | d [Å] | Rel. int. | index |
| --- | --- | --- | --- |
| 25.33 | 3.517 | 100 | 1 1 0 |
| 31.95 | 2.801 | 75 | 1 0 3 |
| 36.12 | 2.487 | 17 | 2 0 0 |
| 48.98 | 1.860 | 70 | 2 1 3 |
| 52.01 | 1.758 | 18 | 2 2 0 |
| 54.10 | 1.695 | 10 | 0 0 6 |
| 58.71 | 1.573 | 14 | 3 1 0 |
| 60.65 | 1.527 | 16 | 1 1 6 |
| 62.35 | 1.489 | 22 | 3 0 3 |
| 74.23 | 1.278 | 10 | 3 2 3 |
| 83.93 | 1.153 | 10 | 3 1 6 |
| 85.43 | 1.136 | 11 | 4 1 3 |


Record 2
Diffraction record for SrCdCu2F8. The powder X-ray diffraction pattern is calculated, not measured: it uses a cell relaxed with PBE and Cu Kα.
No peak broadening, texture or thermal motion is included.

Cell and atoms:
```
data_SrCdCu2F8
_space_group_name_H-M_alt 'I -4'
_space_group_IT_number 82
_cell_length_a 5.585
_cell_length_b 5.585
_cell_length_c 10.807
_cell_angle_alpha 90.00
_cell_angle_beta 90.00
_cell_angle_gamma 90.00
loop_
_space_group_symop_operation_xyz
'x,y,z'
'y,-x,-z'
'-x,-y,z'
'-y,x,-z'
'x+1/2,y+1/2,z+1/2'
'y+1/2,-x+1/2,-z+1/2'
'-x+1/2,-y+1/2,z+1/2'
'-y+1/2,x+1/2,-z+1/2'
loop_
_atom_site_label
_atom_site_type_symbol
_atom_site_fract_x
_atom_site_fract_y
_atom_site_fract_z
Sr1 Sr 0.000 0.000 0.000
Cd1 Cd 0.000 0.500 0.750
Cu1 Cu 0.000 0.000 0.500
Cu2 Cu 0.000 0.500 0.250
F1 F 0.131 0.294 0.559
F2 F 0.159 0.788 0.196
```

Principal peaks in the range 2θ = 15–90°, low angle first:
| Position (°2θ) | d [Å] | Rel. int. | index |
| --- | --- | --- | --- |
| 27.98 | 3.188 | 100 | 1 1 2 |
| 32.05 | 2.792 | 21 | 2 0 0 |
| 33.16 | 2.702 | 21 | 0 0 4 |
| 36.94 | 2.433 | 9 | 2 1 1 |
| 45.96 | 1.974 | 17 | 2 2 0 |
| 46.79 | 1.942 | 25 | 2 0 4 |
| 54.68 | 1.679 | 40 | 1 3 2 |
| 56.12 | 1.639 | 16 | 1 1 6 |
| 57.84 | 1.594 | 14 | 2 2 4 |
| 75.37 | 1.261 | 11 | 3 1 6 |
| 78.68 | 1.216 | 8 | 2 0 8 |
| 85.70 | 1.134 | 9 | 4 2 4 |